Record 1
Structure and simulated powder diffraction line list of Sm4INCl4 (the GGA-PBE geometry in OQMD; CuKα).
Peak positions follow from Bragg's law for the DFT cell and can differ from measured ones.

Main lines, sorted by position (2θ = 10–80°):
d [Å], 2theta, I/Imax, hkl
8.277, 10.7, 100, 2 0 0
4.180, 21.3, 14, 4 0 -1
3.098, 28.8, 20, 3 1 -1
2.851, 31.4, 69, 1 1 -2
2.800, 32.0, 25, 3 1 1
2.765, 32.4, 30, 6 0 0
2.426, 37.0, 14, 2 0 3
2.279, 39.5, 20, 6 0 -3
1.997, 45.4, 17, 7 1 -2
1.973, 46.0, 18, 5 1 2

Structural model:
```
data_Sm4INCl4
_chemical_formula_sum 'Sm8 I2 N2 Cl8'
_symmetry_space_group_name_H-M 'C 1 2/m 1'
_symmetry_Int_Tables_number 12
_symmetry_space_group_name_Hall '-C 2y'
_cell_length_a 17.2110
_cell_length_b 3.8201
_cell_length_c 8.5690
_cell_angle_alpha 90.00
_cell_angle_beta 105.47
_cell_angle_gamma 90.00
loop_
_atom_site_label
_atom_site_type_symbol
_atom_site_fract_x
_atom_site_fract_y
_atom_site_fract_z
Sm1 Sm 0.0000 0.0000 0.1923
Sm2 Sm 0.1446 0.5000 0.0791
I1 I 0.0000 0.5000 0.5000
N1 N 0.0000 0.5000 0.0000
Cl1 Cl 0.1672 0.0000 0.3233
Cl2 Cl 0.1706 0.0000 0.8535
```

---

Record 2
Structure and simulated powder diffraction line list of PW4N3 (the GGA-PBE geometry in OQMD; CuKα).
Peak positions follow from Bragg's law for the DFT cell and can differ from measured ones.

Main lines, sorted by position (2θ = 10–80°):
d [Å], 2theta, I/Imax, hkl
2.667, 33.6, 39, 0 0 8
2.646, 33.9, 100, 1 0 2
2.549, 35.2, 35, 1 0 3
2.431, 37.0, 22, 1 0 4
2.300, 39.2, 75, 1 0 5
2.166, 41.7, 100, 1 0 6
2.034, 44.5, 28, 1 0 7
1.577, 58.5, 60, 1 1 0
1.490, 62.3, 35, 1 0 12
1.357, 69.2, 31, 1 1 8

Structural model:
```
data_PW4N3
_chemical_formula_sum 'P2 W8 N6'
_symmetry_space_group_name_H-M 'P 63/m m c'
_symmetry_Int_Tables_number 194
_symmetry_space_group_name_Hall '-P 6c 2c'
_cell_length_a 3.1535
_cell_length_b 3.1535
_cell_length_c 21.3357
_cell_angle_alpha 90.00
_cell_angle_beta 90.00
_cell_angle_gamma 120.00
loop_
_atom_site_label
_atom_site_type_symbol
_atom_site_fract_x
_atom_site_fract_y
_atom_site_fract_z
P1 P 0.3333 0.6667 0.2500
W1 W 0.0000 0.0000 0.1736
W2 W 0.3333 0.6667 0.0493
N1 N 0.0000 0.0000 0.0000
N2 N 0.3333 0.6667 0.6085
```

---

Record 3
Structure and simulated powder diffraction line list of NdHoPt2 (the GGA-PBE geometry in OQMD; CuKα).
Peak positions follow from Bragg's law for the DFT cell and can differ from measured ones.

Main lines, sorted by position (2θ = 10–80°):
d [Å], 2theta, I/Imax, hkl
4.434, 20.0, 19, 0 1 1
2.825, 31.7, 70, 1 0 2
2.622, 34.2, 43, 0 2 1
2.525, 35.6, 100, 1 1 2
2.282, 39.5, 50, 2 0 0
2.273, 39.6, 91, 1 2 1
2.206, 40.9, 21, 0 1 3
1.721, 53.2, 24, 2 2 1
1.713, 53.5, 23, 0 1 4
1.370, 68.5, 22, 2 1 4

Structural model:
```
data_NdHoPt2
_chemical_formula_sum 'Nd2 Ho2 Pt4'
_symmetry_space_group_name_H-M 'P m c 21'
_symmetry_Int_Tables_number 26
_symmetry_space_group_name_Hall 'P 2c -2'
_cell_length_a 4.5645
_cell_length_b 5.6304
_cell_length_c 7.1948
_cell_angle_alpha 90.00
_cell_angle_beta 90.00
_cell_angle_gamma 90.00
loop_
_atom_site_label
_atom_site_type_symbol
_atom_site_fract_x
_atom_site_fract_y
_atom_site_fract_z
Nd1 Nd 0.0000 0.1093 0.0000
Ho1 Ho 0.5000 0.3903 0.6354
Pt1 Pt 0.0000 0.4075 0.3632
Pt2 Pt 0.5000 0.0999 0.2753
```

---

Record 4
Structure and simulated powder diffraction line list of Li2ZrNbGa2Pt2 (the GGA-PBE geometry in OQMD; CuKα).
Peak positions follow from Bragg's law for the DFT cell and can differ from measured ones.

Main lines, sorted by position (2θ = 10–80°):
d [Å], 2theta, I/Imax, hkl
3.632, 24.5, 98, 1 0 1
2.229, 40.5, 100, 1 1 2
2.215, 40.7, 49, 2 0 0
1.908, 47.7, 17, 1 0 3
1.891, 48.1, 33, 2 1 1
1.586, 58.2, 9, 0 0 4
1.566, 59.0, 16, 2 2 0
1.446, 64.5, 14, 2 1 3
1.289, 73.4, 17, 2 0 4
1.281, 74.0, 33, 3 1 2

Structural model:
```
data_Li2ZrNbGa2Pt2
_chemical_formula_sum 'Li2 Zr1 Nb1 Ga2 Pt2'
_symmetry_space_group_name_H-M 'P -4 m 2'
_symmetry_Int_Tables_number 115
_symmetry_space_group_name_Hall 'P -4 -2'
_cell_length_a 4.4297
_cell_length_b 4.4297
_cell_length_c 6.3433
_cell_angle_alpha 90.00
_cell_angle_beta 90.00
_cell_angle_gamma 90.00
loop_
_atom_site_label
_atom_site_type_symbol
_atom_site_fract_x
_atom_site_fract_y
_atom_site_fract_z
Li1 Li 0.0000 0.5000 0.2419
Zr1 Zr 0.5000 0.5000 0.5000
Nb1 Nb 0.0000 0.0000 0.0000
Ga1 Ga 0.0000 0.0000 0.5000
Ga2 Ga 0.5000 0.5000 0.0000
Pt1 Pt 0.0000 0.5000 0.7530
```

---

Record 5
Structure and simulated powder diffraction line list of YZr6Sn4 (the GGA-PBE geometry in OQMD; CuKα).
Peak positions follow from Bragg's law for the DFT cell and can differ from measured ones.

Main lines, sorted by position (2θ = 10–80°):
d [Å], 2theta, I/Imax, hkl
3.051, 29.3, 49, 1 1 0
2.851, 31.4, 31, 1 1 3
2.673, 33.5, 83, 0 0 9
2.626, 34.1, 75, 0 2 1
2.428, 37.0, 71, 1 1 6
2.419, 37.2, 100, 0 2 4
2.316, 38.9, 89, 2 0 5
1.525, 60.7, 53, 2 2 0
1.420, 65.8, 28, 1 1 15
1.325, 71.2, 56, 2 2 9

Structural model:
```
data_YZr6Sn4
_chemical_formula_sum 'Y3 Zr18 Sn12'
_symmetry_space_group_name_H-M 'R -3 m'
_symmetry_Int_Tables_number 166
_symmetry_space_group_name_Hall '-R 3 2"'
_cell_length_a 6.1015
_cell_length_b 6.1015
_cell_length_c 24.0579
_cell_angle_alpha 90.00
_cell_angle_beta 90.00
_cell_angle_gamma 120.00
loop_
_atom_site_label
_atom_site_type_symbol
_atom_site_fract_x
_atom_site_fract_y
_atom_site_fract_z
Y1 Y 0.0000 0.0000 0.0000
Zr1 Zr 0.0023 0.5011 0.1049
Sn1 Sn 0.0000 0.0000 0.1238
Sn2 Sn 0.0000 0.0000 0.3327
```

---

Record 6
Structure and simulated powder diffraction line list of LiIrSeO (the GGA-PBE geometry in OQMD; CuKα).
Peak positions follow from Bragg's law for the DFT cell and can differ from measured ones.

Main lines, sorted by position (2θ = 10–80°):
d [Å], 2theta, I/Imax, hkl
6.921, 12.8, 100, 0 1 0
4.156, 21.4, 43, 0 1 1
3.079, 29.0, 57, 1 1 0
2.599, 34.5, 22, 0 0 2
2.436, 36.9, 43, 1 2 0
2.208, 40.9, 30, 1 2 1
1.986, 45.7, 26, 1 1 2
1.797, 50.8, 27, 1 3 1
1.778, 51.4, 14, 1 2 2
1.642, 56.0, 14, 0 4 1

Structural model:
```
data_LiIrSeO
_chemical_formula_sum 'Li2 Ir2 Se2 O2'
_symmetry_space_group_name_H-M 'P m c 21'
_symmetry_Int_Tables_number 26
_symmetry_space_group_name_Hall 'P 2c -2'
_cell_length_a 3.4377
_cell_length_b 6.9209
_cell_length_c 5.1970
_cell_angle_alpha 90.00
_cell_angle_beta 90.00
_cell_angle_gamma 90.00
loop_
_atom_site_label
_atom_site_type_symbol
_atom_site_fract_x
_atom_site_fract_y
_atom_site_fract_z
Li1 Li 0.0000 0.1905 0.0000
Ir1 Ir 0.5000 0.4357 0.4090
Se1 Se 0.0000 0.1970 0.5129
O1 O 0.5000 0.3017 0.0543
```

---

Record 7
Structure and simulated powder diffraction line list of Tl2Fe3S4 (the GGA-PBE geometry in OQMD; CuKα).
Peak positions follow from Bragg's law for the DFT cell and can differ from measured ones.

Main lines, sorted by position (2θ = 10–80°):
d [Å], 2theta, I/Imax, hkl
3.542, 25.1, 66, 1 2 1
3.293, 27.1, 32, 0 0 4
2.819, 31.7, 100, 1 2 3
2.439, 36.9, 32, 0 4 2
2.398, 37.5, 31, 2 0 2
2.142, 42.2, 21, 1 2 5
1.839, 49.6, 25, 2 4 0
1.684, 54.5, 18, 0 4 6
1.671, 55.0, 18, 2 0 6
1.551, 59.6, 16, 1 6 3

Structural model:
```
data_Tl2Fe3S4
_chemical_formula_sum 'Tl8 Fe12 S16'
_symmetry_space_group_name_H-M 'I b a m'
_symmetry_Int_Tables_number 72
_symmetry_space_group_name_Hall '-I 2 2c'
_cell_length_a 5.1505
_cell_length_b 10.5031
_cell_length_c 13.1731
_cell_angle_alpha 90.00
_cell_angle_beta 90.00
_cell_angle_gamma 90.00
loop_
_atom_site_label
_atom_site_type_symbol
_atom_site_fract_x
_atom_site_fract_y
_atom_site_fract_z
Tl1 Tl 0.2413 0.1280 0.0000
Fe1 Fe 0.0000 0.2512 0.2500
Fe2 Fe 0.0000 0.5000 0.2500
S1 S 0.2501 0.1294 0.3405
```

---

Record 8
Structure and simulated powder diffraction line list of Mo2P (the GGA-PBE geometry in OQMD; CuKα).
Peak positions follow from Bragg's law for the DFT cell and can differ from measured ones.

Main lines, sorted by position (2θ = 10–80°):
d [Å], 2theta, I/Imax, hkl
2.996, 29.8, 22, 0 0 2
2.583, 34.7, 58, 1 1 0
2.228, 40.5, 15, 2 0 0
2.176, 41.5, 100, 1 0 2
2.170, 41.6, 26, 2 0 -2
1.823, 50.0, 18, 2 1 0
1.585, 58.2, 12, 0 2 0
1.396, 67.0, 16, 2 1 2
1.354, 69.4, 14, 0 1 4
1.280, 74.1, 18, 2 2 -2

Structural model:
```
data_Mo2P
_chemical_formula_sum 'Mo4 P2'
_symmetry_space_group_name_H-M 'P 1 21/m 1'
_symmetry_Int_Tables_number 11
_symmetry_space_group_name_Hall '-P 2yb'
_cell_length_a 4.7293
_cell_length_b 3.1697
_cell_length_c 6.3623
_cell_angle_alpha 90.00
_cell_angle_beta 109.57
_cell_angle_gamma 90.00
loop_
_atom_site_label
_atom_site_type_symbol
_atom_site_fract_x
_atom_site_fract_y
_atom_site_fract_z
Mo1 Mo 0.1950 0.2500 0.4326
Mo2 Mo 0.1959 0.2500 0.9169
P1 P 0.3894 0.7500 0.2220
```

---

Record 9
Structure and simulated powder diffraction line list of CsPr2CuSeS3 (the GGA-PBE geometry in OQMD; CuKα).
Peak positions follow from Bragg's law for the DFT cell and can differ from measured ones.

Main lines, sorted by position (2θ = 10–80°):
d [Å], 2theta, I/Imax, hkl
3.986, 22.3, 66, 0 2 3
3.683, 24.2, 26, 0 4 0
3.559, 25.0, 31, 0 0 4
3.512, 25.4, 30, 1 1 2
3.195, 27.9, 36, 1 3 0
3.115, 28.7, 57, 1 3 1
2.912, 30.7, 100, 1 3 2
2.324, 38.7, 37, 1 1 5
2.150, 42.0, 42, 1 5 3
2.100, 43.1, 31, 2 0 0

Structural model:
```
data_CsPr2CuSeS3
_chemical_formula_sum 'Cs4 Pr8 Cu4 Se4 S12'
_symmetry_space_group_name_H-M 'C m c m'
_symmetry_Int_Tables_number 63
_symmetry_space_group_name_Hall '-C 2c 2'
_cell_length_a 4.2007
_cell_length_b 14.7305
_cell_length_c 14.2219
_cell_angle_alpha 90.00
_cell_angle_beta 90.00
_cell_angle_gamma 90.00
loop_
_atom_site_label
_atom_site_type_symbol
_atom_site_fract_x
_atom_site_fract_y
_atom_site_fract_z
Cs1 Cs 0.0000 0.1014 0.2500
Pr1 Pr 0.0000 0.3611 0.0617
Cu1 Cu 0.0000 0.1675 0.7500
Se1 Se 0.0000 0.0000 0.0000
S1 S 0.0000 0.2574 0.6113
S2 S 0.0000 0.4149 0.2500
```

---

Record 10
Structure and simulated powder diffraction line list of Lu2Si3Mo4C3 (the GGA-PBE geometry in OQMD; CuKα).
Peak positions follow from Bragg's law for the DFT cell and can differ from measured ones.

Main lines, sorted by position (2θ = 10–80°):
d [Å], 2theta, I/Imax, hkl
6.585, 13.4, 28, 0 0 2
3.292, 27.1, 29, 0 0 4
2.707, 33.1, 23, 3 1 -1
2.658, 33.7, 46, 0 2 1
2.647, 33.9, 23, 3 1 0
2.311, 39.0, 100, 3 1 -4
2.295, 39.2, 46, 3 1 2
2.194, 41.1, 20, 0 0 6
2.097, 43.1, 18, 3 1 -5
1.566, 59.0, 21, 3 3 -1

Structural model:
```
data_Lu2Si3Mo4C3
_chemical_formula_sum 'Lu8 Si12 Mo16 C12'
_symmetry_space_group_name_H-M 'C 1 2/c 1'
_symmetry_Int_Tables_number 15
_symmetry_space_group_name_Hall '-C 2yc'
_cell_length_a 9.3648
_cell_length_b 5.4332
_cell_length_c 13.5640
_cell_angle_alpha 90.00
_cell_angle_beta 103.85
_cell_angle_gamma 90.00
loop_
_atom_site_label
_atom_site_type_symbol
_atom_site_fract_x
_atom_site_fract_y
_atom_site_fract_z
Lu1 Lu 0.0412 0.0824 0.3815
Si1 Si 0.0000 0.4295 0.7500
Si2 Si 0.2423 0.1553 0.7500
Mo1 Mo 0.1105 0.4089 0.5826
Mo2 Mo 0.2259 0.4205 0.9176
C1 C 0.0840 0.2512 0.0000
C2 C 0.2500 0.2500 0.5000
```

---

Record 11
Structure and simulated powder diffraction line list of Hg2SeO (the GGA-PBE geometry in OQMD; CuKα).
Peak positions follow from Bragg's law for the DFT cell and can differ from measured ones.

Main lines, sorted by position (2θ = 10–80°):
d [Å], 2theta, I/Imax, hkl
3.288, 27.1, 32, 1 0 1
3.203, 27.9, 24, 0 0 4
3.004, 29.7, 100, 1 0 2
2.661, 33.7, 51, 1 0 3
2.047, 44.3, 15, 1 0 5
1.964, 46.2, 45, 1 1 0
1.808, 50.5, 29, 1 0 6
1.674, 54.8, 23, 1 1 4
1.644, 55.9, 18, 2 0 2
1.260, 75.4, 15, 2 1 2

Structural model:
```
data_Hg2SeO
_chemical_formula_sum 'Hg4 Se2 O2'
_symmetry_space_group_name_H-M 'P 63 m c'
_symmetry_Int_Tables_number 186
_symmetry_space_group_name_Hall 'P 6c -2c'
_cell_length_a 3.9276
_cell_length_b 3.9276
_cell_length_c 12.8110
_cell_angle_alpha 90.00
_cell_angle_beta 90.00
_cell_angle_gamma 120.00
loop_
_atom_site_label
_atom_site_type_symbol
_atom_site_fract_x
_atom_site_fract_y
_atom_site_fract_z
Hg1 Hg 0.0000 0.0000 0.0000
Hg2 Hg 0.3333 0.6667 0.2694
Se1 Se 0.3333 0.6667 0.6192
O1 O 0.0000 0.0000 0.3298
```

---

Record 12
Structure and simulated powder diffraction line list of Ta4FeS8 (the GGA-PBE geometry in OQMD; CuKα).
Peak positions follow from Bragg's law for the DFT cell and can differ from measured ones.

Main lines, sorted by position (2θ = 10–80°):
d [Å], 2theta, I/Imax, hkl
6.071, 14.6, 100, 0 0 2
3.036, 29.4, 12, 0 0 4
2.880, 31.1, 50, 0 4 0
2.602, 34.5, 82, 2 2 2
2.089, 43.3, 81, 2 2 4
1.663, 55.3, 25, 4 0 0
1.656, 55.5, 20, 2 2 6
1.604, 57.5, 18, 4 0 2
1.401, 66.8, 12, 4 4 2
1.301, 72.7, 17, 0 8 4

Structural model:
```
data_Ta4FeS8
_chemical_formula_sum 'Ta16 Fe4 S32'
_symmetry_space_group_name_H-M 'C m c m'
_symmetry_Int_Tables_number 63
_symmetry_space_group_name_Hall '-C 2c 2'
_cell_length_a 6.6465
_cell_length_b 11.5247
_cell_length_c 12.1428
_cell_angle_alpha 90.00
_cell_angle_beta 90.00
_cell_angle_gamma 90.00
loop_
_atom_site_label
_atom_site_type_symbol
_atom_site_fract_x
_atom_site_fract_y
_atom_site_fract_z
Ta1 Ta 0.0000 0.0006 0.2500
Ta2 Ta 0.0000 0.4940 0.7500
Ta3 Ta 0.2412 0.2529 0.7500
Fe1 Fe 0.0000 0.0000 0.0000
S1 S 0.0000 0.1684 0.1212
S2 S 0.0000 0.3335 0.6174
S3 S 0.2493 0.4161 0.1213
```